The following is a calculated powder X-ray diffraction pattern of Na4AlCu2Si. It was derived from a cell relaxed with GGA-PBE, using λ = 1.5418 Å (Cu Kα).

Principal peaks in the range 2θ = 5–70°, in order of rising 2θ:
- 2θ = 23.38°, I 237, (1 0 1)
- 2θ = 27.10°, I 69, (1 1 0)
- 2θ = 38.65°, I 1000, (2 0 0)
- 2θ = 45.71°, I 77, (2 1 1)
- 2θ = 55.62°, I 52, (0 0 4)
- 2θ = 55.89°, I 106, (2 2 0)
- 2θ = 69.82°, I 99, (2 0 4)
- 2θ = 70.00°, I 201, (3 1 2)

Crystal structure
a b c (Å): 4.6526 4.6526 6.6097
angles (deg): 90.00 90.00 90.00
Fractional coordinates of all 8 atoms:
Na1 0.0000 0.0000 0.0000
Na2 0.0000 0.5000 0.2423
Na3 0.5000 0.0000 0.7577
Na4 0.5000 0.5000 0.5000
Al1 0.0000 0.0000 0.5000
Cu1 0.0000 0.5000 0.7600
Cu2 0.5000 0.0000 0.2400
Si1 0.5000 0.5000 0.0000

=====

The following is a calculated powder X-ray diffraction pattern of Na4Al2ZnCu. It was derived from a cell relaxed with GGA-PBE, using λ = 1.5418 Å (Cu Kα).

Principal peaks in the range 2θ = 5–70°, in order of rising 2θ:
- 2θ = 22.64°, I 241, (1 0 1)
- 2θ = 26.20°, I 111, (0 0 2)
- 2θ = 37.39°, I 1000, (2 0 0)
- 2θ = 44.19°, I 82, (2 1 1)
- 2θ = 53.79°, I 54, (0 0 4)
- 2θ = 53.97°, I 109, (2 2 0)
- 2θ = 67.37°, I 104, (2 0 4)
- 2θ = 67.48°, I 208, (3 1 2)

Crystal structure
a b c (Å): 4.8056 4.8056 6.8168
angles (deg): 90.00 90.00 90.00
Fractional coordinates of all 8 atoms:
Na1 0.0000 0.0000 0.0000
Na2 0.0000 0.5000 0.7459
Na3 0.5000 0.0000 0.2541
Na4 0.5000 0.5000 0.5000
Al1 0.0000 0.5000 0.2584
Al2 0.5000 0.0000 0.7416
Zn1 0.5000 0.5000 0.0000
Cu1 0.0000 0.0000 0.5000

=====

The following is a calculated powder X-ray diffraction pattern of Nd2Al5Cu5. It was derived from a cell relaxed with GGA-PBE, using λ = 1.5418 Å (Cu Kα).

Principal peaks in the range 2θ = 5–70°, in order of rising 2θ:
- 2θ = 21.37°, I 376, (1 0 0)
- 2θ = 28.87°, I 340, (1 1 1)
- 2θ = 33.43°, I 294, (0 2 0)
- 2θ = 33.73°, I 413, (0 1 3)
- 2θ = 40.03°, I 387, (1 2 0)
- 2θ = 40.28°, I 1000, (1 1 3)
- 2θ = 43.54°, I 269, (2 0 0)
- 2θ = 64.41°, I 239, (1 3 3)

Crystal structure
a b c (Å): 4.1572 5.3602 9.1786
angles (deg): 90.00 90.00 90.00
Fractional coordinates of all 12 atoms:
Nd1 0.0000 0.0000 0.0000
Nd2 0.0000 0.5000 0.5000
Al1 0.5000 0.0000 0.5000
Al2 0.5000 0.2512 0.2396
Al3 0.5000 0.2512 0.7604
Al4 0.5000 0.7488 0.2396
Al5 0.5000 0.7488 0.7604
Cu1 0.0000 0.0000 0.3326
Cu2 0.0000 0.0000 0.6674
Cu3 0.0000 0.5000 0.1653
Cu4 0.0000 0.5000 0.8347
Cu5 0.5000 0.5000 0.0000